This entry pairs a crystal structure of PmDy3C2 with its simulated X-ray diffraction stick pattern. Radiation: a wavelength of 1.5418 Å. Structure: a cell relaxed with GGA-PBE.

Main lines, sorted by position (10 to 80 degrees two-theta):
2θ/deg	I/Imax
14.2	13
28.6	32
30.1	100
34.5	76
44.5	9
48.5	23
50.5	28
57.3	10
59.1	26
59.9	15
62.0	7
62.6	13

```
PmDy3C2
1.0
6.261 -3.612 0.000
6.261 3.612 0.000
-4.162 0.000 6.252
Pm Dy C
2 6 4
Direct
0.244 0.244 0.232
0.756 0.756 0.768
0.236 0.738 0.213
0.262 0.262 0.787
0.262 0.764 0.787
0.738 0.236 0.213
0.738 0.738 0.213
0.764 0.262 0.787
0.000 0.000 0.000
0.000 0.500 0.000
0.500 0.000 0.000
0.500 0.500 0.000
```



This entry pairs a crystal structure of Pr3DyC8 with its simulated X-ray diffraction stick pattern. Radiation: a wavelength of 1.5418 Å. Structure: a cell relaxed with GGA-PBE.

Main lines, sorted by position (10 to 80 degrees two-theta):
2θ/deg	I/Imax
24.3	62
28.9	100
34.6	38
45.7	63
49.8	12
53.7	20
56.1	15
58.5	13
59.8	12
69.8	16
71.0	7
76.3	21

```
Pr3DyC8
1.0
-3.665 3.665 3.856
3.665 -3.665 3.856
3.665 3.665 -3.856
Pr Dy C
3 1 8
Direct
0.000 0.000 0.000
0.250 0.750 0.500
0.750 0.250 0.500
0.500 0.500 0.000
0.110 0.638 0.000
0.122 0.442 0.000
0.362 0.362 0.472
0.442 0.122 0.000
0.558 0.558 0.680
0.638 0.110 0.000
0.878 0.878 0.320
0.890 0.890 0.528
```



This entry pairs a crystal structure of PrDy3C8 with its simulated X-ray diffraction stick pattern. Radiation: a wavelength of 1.5418 Å. Structure: a cell relaxed with GGA-PBE.

Main lines, sorted by position (10 to 80 degrees two-theta):
2θ/deg	I/Imax
26.0	52
28.8	100
37.1	16
37.2	15
45.0	8
47.7	55
52.7	20
53.5	10
73.1	7
74.4	7
74.6	7
78.4	7

```
PrDy3C8
1.0
0.000 4.850 4.031
4.831 0.000 4.031
4.831 4.850 0.000
Pr Dy C
1 3 8
Direct
0.000 0.000 0.000
0.253 0.253 0.247
0.500 0.500 0.500
0.753 0.753 0.747
0.091 0.434 0.566
0.118 0.594 0.882
0.403 0.882 0.118
0.434 0.091 0.909
0.565 0.908 0.435
0.594 0.118 0.406
0.882 0.403 0.597
0.908 0.565 0.092
```



This entry pairs a crystal structure of Dy4PtC2 with its simulated X-ray diffraction stick pattern. Radiation: a wavelength of 1.5418 Å. Structure: a cell relaxed with GGA-PBE.

Main lines, sorted by position (10 to 80 degrees two-theta):
2θ/deg	I/Imax
31.9	76
32.7	33
33.2	84
33.7	100
35.9	39
47.0	17
49.6	24
49.9	28
58.8	15
60.2	25
61.6	26
63.7	17

```
Dy4PtC2
1.0
1.836 -6.084 0.000
1.836 6.084 0.000
0.000 0.000 12.650
Dy Pt C
8 2 4
Direct
0.000 0.000 0.000
0.000 0.000 0.500
0.269 0.731 0.608
0.269 0.731 0.892
0.434 0.566 0.250
0.566 0.434 0.750
0.731 0.269 0.108
0.731 0.269 0.392
0.112 0.888 0.250
0.888 0.112 0.750
0.365 0.635 0.061
0.365 0.635 0.439
0.635 0.365 0.561
0.635 0.365 0.939
```



This entry pairs a crystal structure of DyPuC2 with its simulated X-ray diffraction stick pattern. Radiation: a wavelength of 1.5418 Å. Structure: a cell relaxed with GGA-PBE.

Main lines, sorted by position (10 to 80 degrees two-theta):
2θ/deg	I/Imax
15.6	7
30.8	100
31.5	32
35.9	83
51.2	30
52.1	28
60.9	15
61.3	30
62.1	15
64.1	15
65.6	5
76.1	9

```
DyPuC2
1.0
1.784 1.030 5.689
-1.784 1.030 5.689
0.000 -2.060 5.689
Dy Pu C
1 1 2
Direct
0.000 0.000 0.000
0.500 0.500 0.500
0.239 0.239 0.239
0.761 0.761 0.761
```



This entry pairs a crystal structure of Dy12Re5C15 with its simulated X-ray diffraction stick pattern. Radiation: a wavelength of 1.5418 Å. Structure: a cell relaxed with GGA-PBE.

Main lines, sorted by position (10 to 80 degrees two-theta):
2θ/deg	I/Imax
30.9	100
33.8	22
34.8	40
35.2	37
37.9	15
39.1	9
48.3	8
50.3	28
58.1	12
60.5	18
63.5	11
68.7	8

```
Dy12Re5C15
1.0
10.741 0.000 0.000
-5.370 9.302 0.000
0.000 0.000 5.103
Dy Re C
12 5 15
Direct
0.000 0.428 0.000
0.000 0.794 0.000
0.186 0.730 0.500
0.206 0.206 0.000
0.270 0.456 0.500
0.428 0.000 0.000
0.456 0.270 0.500
0.544 0.814 0.500
0.572 0.572 0.000
0.730 0.186 0.500
0.794 0.000 0.000
0.814 0.544 0.500
0.000 0.153 0.500
0.153 0.000 0.500
0.333 0.667 0.000
0.667 0.333 0.000
0.847 0.847 0.500
0.000 0.333 0.500
0.000 0.460 0.500
0.000 0.785 0.500
0.188 0.719 0.000
0.215 0.215 0.500
0.281 0.468 0.000
0.333 0.000 0.500
0.460 0.000 0.500
0.468 0.281 0.000
0.532 0.812 0.000
0.540 0.540 0.500
0.667 0.667 0.500
0.719 0.188 0.000
0.785 0.000 0.500
0.812 0.532 0.000
```



This entry pairs a crystal structure of Dy2ReC with its simulated X-ray diffraction stick pattern. Radiation: a wavelength of 1.5418 Å. Structure: a cell relaxed with GGA-PBE.

Main lines, sorted by position (10 to 80 degrees two-theta):
2θ/deg	I/Imax
31.5	100
31.7	46
32.1	34
40.1	16
42.5	49
47.9	34
55.6	30
65.3	13
65.4	35
71.1	10
72.4	10
76.4	9

```
Dy2ReC
1.0
1.652 0.954 8.477
-1.652 0.954 8.477
0.000 -1.908 8.477
Dy Re C
2 1 1
Direct
0.111 0.111 0.111
0.889 0.889 0.889
0.000 0.000 0.000
0.500 0.500 0.500
```



This entry pairs a crystal structure of DyRh6C with its simulated X-ray diffraction stick pattern. Radiation: a wavelength of 1.5418 Å. Structure: a cell relaxed with GGA-PBE.

Main lines, sorted by position (10 to 80 degrees two-theta):
2θ/deg	I/Imax
31.0	40
36.4	27
37.4	16
37.5	12
38.1	100
39.7	39
49.5	18
50.3	27
60.4	15
67.8	23
70.9	11
77.2	10

```
DyRh6C
1.0
2.763 1.595 4.810
-2.763 1.595 4.810
0.000 -3.190 4.810
Dy Rh C
1 6 1
Direct
0.000 0.000 0.000
0.073 0.595 0.595
0.405 0.405 0.927
0.405 0.927 0.405
0.595 0.073 0.595
0.595 0.595 0.073
0.927 0.405 0.405
0.500 0.500 0.500
```



This entry pairs a crystal structure of Dy6Rh2C with its simulated X-ray diffraction stick pattern. Radiation: a wavelength of 1.5418 Å. Structure: a cell relaxed with GGA-PBE.

Main lines, sorted by position (10 to 80 degrees two-theta):
2θ/deg	I/Imax
30.3	63
31.3	39
31.5	100
31.9	76
33.1	19
33.8	35
34.4	54
34.7	25
38.2	36
40.6	19
41.7	19
53.5	32

```
Dy6Rh2C
1.0
6.508 0.000 0.000
0.000 7.098 0.000
-6.291 0.000 9.422
Dy Rh C
12 4 2
Direct
0.124 0.043 0.244
0.124 0.457 0.744
0.234 0.697 0.062
0.234 0.803 0.562
0.368 0.173 0.058
0.368 0.327 0.558
0.632 0.673 0.442
0.632 0.827 0.942
0.766 0.197 0.438
0.766 0.303 0.938
0.876 0.543 0.256
0.876 0.957 0.756
0.291 0.094 0.755
0.291 0.406 0.255
0.709 0.594 0.745
0.709 0.906 0.245
0.000 0.000 0.000
0.000 0.500 0.500
```



This entry pairs a crystal structure of DyRhC with its simulated X-ray diffraction stick pattern. Radiation: a wavelength of 1.5418 Å. Structure: a cell relaxed with GGA-PBE.

Main lines, sorted by position (10 to 80 degrees two-theta):
2θ/deg	I/Imax
18.1	6
30.9	24
36.1	100
36.8	19
48.8	18
55.0	21
64.4	3
65.8	16
67.5	16
68.0	19
76.5	5
78.2	2

```
DyRhC
1.0
3.340 0.000 0.000
-1.670 2.893 0.000
0.000 0.000 4.889
Dy Rh C
1 1 1
Direct
0.000 0.000 0.000
0.667 0.333 0.471
0.333 0.667 0.311
```